Record 1
Theoretical powder diffraction line list
Compound: Ce3Sb2H2
Radiation: Cu Kα X-rays
Structure: a PBE-relaxed structure
Kinematic intensities with the Lorentz-polarization factor, no thermal factor.

Largest 12 diffraction maxima, low angle first, 15° ≤ 2θ ≤ 90°:
2theta  I/Imax  hkl
26.8  31  1 1 -2
30.8  100  2 1 -1
31.3  75  1 0 2
31.6  66  0 2 1
32.5  18  2 1 0
33.4  29  2 1 -2
35.8  73  1 1 -3
36.5  38  1 2 1
46.3  13  1 1 -4
52.1  34  3 0 -4
52.4  14  1 2 3
61.7  13  0 1 5

```
data_Ce3Sb2H2
_chemical_formula_sum 'Ce6 Sb4 H4'
_space_group_name_H-M_alt 'P 1 21/c 1'
_space_group_IT_number 14
_cell_length_a 6.603
_cell_length_b 6.093
_cell_length_c 8.289
_cell_angle_alpha 90.00
_cell_angle_beta 110.72
_cell_angle_gamma 90.00
loop_
_space_group_symop_operation_xyz
'x,y,z'
'-x,-y,-z'
'-x,y+1/2,-z+1/2'
'x,-y+1/2,z+1/2'
loop_
_atom_site_label
_atom_site_type_symbol
_atom_site_fract_x
_atom_site_fract_y
_atom_site_fract_z
Ce1 Ce 0.000 0.000 0.000
Ce2 Ce 0.364 0.121 0.781
Sb1 Sb 0.231 0.607 0.894
H1 H 0.354 0.113 0.066
```

***

Record 2
Theoretical powder diffraction line list
Compound: Sm3InBi
Radiation: Cu Kα X-rays
Structure: a PBE-relaxed structure
Kinematic intensities with the Lorentz-polarization factor, no thermal factor.

Largest 12 diffraction maxima, low angle first, 15° ≤ 2θ ≤ 90°:
2theta  I/Imax  hkl
25.3  74  3 1 1
30.2  37  0 4 0
30.6  58  3 1 2
31.0  41  1 3 2
31.8  67  0 4 1
33.2  61  3 3 1
33.4  100  0 2 3
34.7  75  4 2 1
35.7  50  4 0 2
36.6  28  2 2 3
49.0  28  3 5 2
63.8  28  2 0 6

```
data_Sm3InBi
_chemical_formula_sum 'Sm24 In8 Bi8'
_space_group_name_H-M_alt 'C m c e'
_space_group_IT_number 64
_space_group_name_Hall '-C 2ac 2'
_cell_length_a 12.139
_cell_length_b 11.827
_cell_length_c 9.027
_cell_angle_alpha 90.00
_cell_angle_beta 90.00
_cell_angle_gamma 90.00
loop_
_atom_site_label
_atom_site_type_symbol
_atom_site_fract_x
_atom_site_fract_y
_atom_site_fract_z
Sm1 Sm 0.000 0.070 0.178
Sm2 Sm 0.154 0.149 0.583
In1 In 0.000 0.198 0.867
Bi1 Bi 0.250 0.100 0.250
```

***

- Which formula does entry 2 have?
  Sm3InBi

***

- Number 1 is which compound?
  Ce3Sb2H2

***

- Which formula does entry 1 have?
  Ce3Sb2H2